For Cd4CN4, a cell relaxed with GGA-PBE gives the calculated powder X-ray diffraction pattern in this record (λ = 1.5418 Å (Cu Kα)).
Peak positions follow from Bragg's law for the DFT cell and can differ from measured ones.

Structural model:
Unit cell a=10.8351 b=3.4209 c=14.8592 alpha=90.00 beta=90.00 gamma=90.00
Fractional positions:
Cd  0.1005  0.2500  0.1698
Cd  0.1049  0.7500  0.3658
Cd  0.1257  0.7500  0.9752
Cd  0.1469  0.2500  0.7760
Cd  0.3531  0.7500  0.2760
Cd  0.3743  0.2500  0.4752
Cd  0.3951  0.2500  0.8658
Cd  0.3995  0.7500  0.6698
Cd  0.6005  0.2500  0.3302
Cd  0.6049  0.7500  0.1342
Cd  0.6257  0.7500  0.5248
Cd  0.6469  0.2500  0.7240
Cd  0.8531  0.7500  0.2240
Cd  0.8743  0.2500  0.0248
Cd  0.8951  0.2500  0.6342
Cd  0.8995  0.7500  0.8302
C  0.1334  0.7500  0.5660
C  0.3666  0.2500  0.0660
C  0.6334  0.7500  0.9340
C  0.8666  0.2500  0.4340
N  0.0104  0.2500  0.8962
N  0.0545  0.7500  0.6262
N  0.2135  0.7500  0.5059
N  0.2142  0.2500  0.2901
N  0.2858  0.7500  0.7901
N  0.2865  0.2500  0.0059
N  0.4455  0.2500  0.1262
N  0.4896  0.7500  0.3962
N  0.5104  0.2500  0.6038
N  0.5545  0.7500  0.8738
N  0.7135  0.7500  0.9941
N  0.7142  0.2500  0.2099
N  0.7858  0.7500  0.7099
N  0.7865  0.2500  0.4941
N  0.9455  0.2500  0.3738
N  0.9896  0.7500  0.1038

Largest 8 diffraction maxima, in order of rising 2θ, 2θ from 10° to 90°:
- 2θ 10.1, d = 8.755 Å, intensity 44
- 2θ 29.9, d = 2.987 Å, intensity 32
- 2θ 31.2, d = 2.866 Å, intensity 30
- 2θ 32.9, d = 2.724 Å, intensity 64
- 2θ 33.1, d = 2.709 Å, intensity 49
- 2θ 33.2, d = 2.695 Å, intensity 100
- 2θ 34.4, d = 2.606 Å, intensity 70
- 2θ 40.6, d = 2.220 Å, intensity 71


For VN, a cell relaxed with GGA-PBE gives the calculated powder X-ray diffraction pattern in this record (λ = 1.5418 Å (Cu Kα)).
Peak positions follow from Bragg's law for the DFT cell and can differ from measured ones.

Structural model:
Unit cell a=2.8776 b=2.8776 c=4.2447 alpha=90.00 beta=90.00 gamma=90.00
Fractional positions:
V  0.2500  0.2500  0.2181
V  0.7500  0.7500  0.7819
N  0.2500  0.2500  0.7338
N  0.7500  0.7500  0.2662

Largest 8 diffraction maxima, in order of rising 2θ, 2θ from 10° to 90°:
- 2θ 37.8, d = 2.382 Å, intensity 100
- 2θ 42.6, d = 2.122 Å, intensity 46
- 2θ 44.5, d = 2.035 Å, intensity 91
- 2θ 53.7, d = 1.708 Å, intensity 12
- 2θ 63.3, d = 1.469 Å, intensity 47
- 2θ 64.8, d = 1.439 Å, intensity 25
- 2θ 77.5, d = 1.232 Å, intensity 23
- 2θ 80.7, d = 1.191 Å, intensity 22


For Li2AlPd, a cell relaxed with GGA-PBE gives the calculated powder X-ray diffraction pattern in this record (λ = 1.5418 Å (Cu Kα)).
Peak positions follow from Bragg's law for the DFT cell and can differ from measured ones.

Structural model:
Unit cell a=4.3187 b=4.3187 c=4.3187 alpha=60.00 beta=60.00 gamma=60.00
Fractional positions:
Li  0.0000  0.0000  0.0000
Li  0.2500  0.2500  0.2500
Al  0.5000  0.5000  0.5000
Pd  0.7500  0.7500  0.7500

Largest 8 diffraction maxima, in order of rising 2θ, 2θ from 10° to 90°:
- 2θ 25.3, d = 3.526 Å, intensity 100
- 2θ 29.2, d = 3.054 Å, intensity 30
- 2θ 41.8, d = 2.159 Å, intensity 73
- 2θ 49.5, d = 1.841 Å, intensity 47
- 2θ 60.6, d = 1.527 Å, intensity 12
- 2θ 66.8, d = 1.401 Å, intensity 19
- 2θ 76.4, d = 1.247 Å, intensity 24
- 2θ 82.0, d = 1.175 Å, intensity 14


For HfO2, a cell relaxed with GGA-PBE gives the calculated powder X-ray diffraction pattern in this record (λ = 1.5418 Å (Cu Kα)).
Peak positions follow from Bragg's law for the DFT cell and can differ from measured ones.

Structural model:
Unit cell a=5.1337 b=5.2108 c=4.9370 alpha=90.00 beta=90.00 gamma=90.00
Fractional positions:
Hf  0.2225  0.2176  0.2281
Hf  0.2775  0.7176  0.7719
Hf  0.7225  0.2824  0.7719
Hf  0.7775  0.7824  0.2281
O  0.0000  0.0000  0.9259
O  0.0000  0.5000  0.0106
O  0.1861  0.8370  0.3968
O  0.3139  0.3370  0.6032
O  0.5000  0.0000  0.9894
O  0.5000  0.5000  0.0741
O  0.6861  0.6630  0.6032
O  0.8139  0.1630  0.3968

Largest 8 diffraction maxima, in order of rising 2θ, 2θ from 10° to 90°:
- 2θ 30.4, d = 2.939 Å, intensity 100
- 2θ 34.4, d = 2.605 Å, intensity 16
- 2θ 35.0, d = 2.567 Å, intensity 17
- 2θ 36.4, d = 2.469 Å, intensity 14
- 2θ 49.9, d = 1.829 Å, intensity 15
- 2θ 51.0, d = 1.792 Å, intensity 13
- 2θ 51.4, d = 1.779 Å, intensity 13
- 2θ 61.8, d = 1.501 Å, intensity 14


For Pr2GaNi2, a cell relaxed with GGA-PBE gives the calculated powder X-ray diffraction pattern in this record (λ = 1.5418 Å (Cu Kα)).
Peak positions follow from Bragg's law for the DFT cell and can differ from measured ones.

Structural model:
Unit cell a=5.5397 b=5.5397 c=5.5397 alpha=134.46 beta=120.66 gamma=77.85
Fractional positions:
Pr  0.2023  0.2023  0.0000
Pr  0.7977  0.7977  0.0000
Ga  0.5000  0.0000  0.5000
Ni  0.2337  0.5000  0.7337
Ni  0.7663  0.5000  0.2663

Largest 8 diffraction maxima, in order of rising 2θ, 2θ from 10° to 90°:
- 2θ 26.4, d = 3.378 Å, intensity 35
- 2θ 33.7, d = 2.659 Å, intensity 100
- 2θ 35.3, d = 2.545 Å, intensity 34
- 2θ 37.7, d = 2.387 Å, intensity 28
- 2θ 38.9, d = 2.314 Å, intensity 27
- 2θ 40.4, d = 2.231 Å, intensity 48
- 2θ 42.1, d = 2.144 Å, intensity 31
- 2θ 67.8, d = 1.382 Å, intensity 31